KPuAgSe2: calculated powder diffractogram (a wavelength of 1.5418 Å), based on a cell relaxed with PBE.

Most intense lines, 15° ≤ 2θ ≤ 90°, by intensity:
| h k l | 2θ/deg | d (Å) | I (rel.) |
| --- | --- | --- | --- |
| 2 2 1 | 34.7 | 2.587 | 1000 |
| 0 2 2 | 30.5 | 2.927 | 914 |
| 0 4 2 | 36.8 | 2.440 | 794 |
| 2 4 1 | 40.4 | 2.232 | 742 |
| 2 0 1 | 32.6 | 2.749 | 598 |
| 1 3 1 | 26.8 | 3.329 | 385 |

Crystal structure
Unit cell a=6.1020 b=15.2981 c=6.3366 alpha=90.00 beta=90.00 gamma=90.00
Space group Cmme (No. 67)
Unique sites:
1 K 0.0000 0.2500 0.2266 [4 per cell]
2 Pu 0.2500 0.0000 0.5000 [4 per cell]
3 Ag 0.0000 0.0000 0.0000 [4 per cell]
4 Se 0.0000 0.1269 0.7404 [8 per cell]